(1)
For CaTmGa2Pd5, DFT lattice parameters and positions (PBE) gives the theoretical powder XRD pattern in this record (Cu Kα (weighted mean of Kα1 and Kα2)).
Lines closer than 0.1° are merged.

Most intense lines, 2θ from 5° to 70°, sorted by position:
d/Å, Rel. int.
2.501, 100
2.465, 24
2.118, 48
1.606, 13
1.550, 13
1.497, 16

Structure:
a = 4.2353 Å, b = 4.2353 Å, c = 9.0961 Å
α = 90.00°, β = 90.00°, γ = 90.00°
Fractional positions:
Ca1 0.0000 0.0000 0.0000
Tm1 0.0000 0.0000 0.5000
Ga1 0.5000 0.5000 0.3653
Ga2 0.5000 0.5000 0.6347
Pd1 0.0000 0.5000 0.2286
Pd2 0.0000 0.5000 0.7714
Pd3 0.5000 0.0000 0.2286
Pd4 0.5000 0.0000 0.7714
Pd5 0.5000 0.5000 0.0000



(2)
For LaSmHoPb, DFT lattice parameters and positions (PBE) gives the theoretical powder XRD pattern in this record (Cu Kα (weighted mean of Kα1 and Kα2)).
Lines closer than 0.1° are merged.

Most intense lines, 2θ from 5° to 70°, sorted by position:
d/Å, Rel. int.
4.584, 1
3.970, 2
2.807, 100
1.985, 19
1.621, 39
1.404, 12

Structure:
a = 5.6144 Å, b = 5.6144 Å, c = 5.6144 Å
α = 60.00°, β = 60.00°, γ = 60.00°
Fractional positions:
La1 0.0000 0.0000 0.0000
Sm1 0.5000 0.5000 0.5000
Ho1 0.2500 0.2500 0.2500
Pb1 0.7500 0.7500 0.7500